(1)
# Na4MgC6S6N6
Computed powder XRD pattern, Cu Ka. Input: a crystal structure in Alexandria, relaxed with GGA-PBE.
Intensities are scaled so that the largest is 100.

Structural model:
Lattice parameters (Å, degrees): 8.8196 8.8196 14.0480 90.00 90.00 120.00
Space group P-31c (No. 163)
Unique sites:
Na: 0.0000 0.0000 0.0000 x2
Na: 0.3333 0.6667 0.0254 x4
Na: 0.3333 0.6667 0.7500 x2
Mg: 0.3333 0.6667 0.2500 x2
C: 0.0010 0.3465 0.3648 x12
S: 0.1722 0.3554 0.6068 x12
N: 0.1338 0.4728 0.3429 x12

Principal peaks in the range 2θ from 5° to 70°, sorted by position:
2θ 11.59, 7.638 Å, I 19.2, (1 0 0); 2θ 17.15, 5.170 Å, I 19.9, (1 0 2); 2θ 23.29, 3.819 Å, I 32.2, (2 0 0); 2θ 23.82, 3.735 Å, I 40.3, (1 1 2); 2θ 24.15, 3.685 Å, I 56.5, (2 0 1); 2θ 25.36, 3.512 Å, I 29.8, (0 0 4); 2θ 30.20, 2.960 Å, I 81.1, (2 0 3); 2θ 32.59, 2.747 Å, I 100.0, (2 -1 4); 2θ 40.45, 2.230 Å, I 19.5, (3 -1 4); 2θ 40.93, 2.205 Å, I 34.7, (2 2 0)


(2)
# Mg6NbCO8
Computed powder XRD pattern, Cu Ka. Input: a crystal structure in Alexandria, relaxed with GGA-PBE.
Intensities are scaled so that the largest is 100.

Structural model:
Lattice parameters (Å, degrees): 4.2032 4.2032 9.3884 90.00 90.00 90.00
Space group P4/mmm (No. 123)
Unique sites:
Mg: 0.0000 0.0000 0.0000 x1
Mg: 0.0000 0.0000 0.5000 x1
Mg: 0.0000 0.5000 0.2242 x4
Nb: 0.5000 0.5000 0.5000 x1
C: 0.5000 0.5000 0.0000 x1
O: 0.0000 0.0000 0.2412 x2
O: 0.0000 0.5000 0.0000 x2
O: 0.0000 0.5000 0.5000 x2
O: 0.5000 0.5000 0.2746 x2

Principal peaks in the range 2θ from 5° to 70°, sorted by position:
2θ 9.42, 9.388 Å, I 64.2, (0 0 1); 2θ 23.19, 3.836 Å, I 59.7, (1 0 1); 2θ 28.51, 3.130 Å, I 29.7, (0 0 3); 2θ 31.58, 2.834 Å, I 35.4, (1 1 1); 2θ 35.76, 2.511 Å, I 45.1, (1 1 2); 2θ 38.35, 2.347 Å, I 62.1, (0 0 4); 2θ 43.04, 2.102 Å, I 100.0, (2 0 0); 2θ 49.46, 1.843 Å, I 19.5, (2 1 1); 2θ 59.00, 1.566 Å, I 61.2, (2 0 4); 2θ 62.50, 1.486 Å, I 28.3, (2 2 0)


(3)
# Mg6NbCO8
Computed powder XRD pattern, Cu Ka. Input: a crystal structure in Alexandria, relaxed with GGA-PBE.
Intensities are scaled so that the largest is 100.

Structural model:
Lattice parameters (Å, degrees): 4.2066 4.2066 9.2736 90.00 90.00 90.00
Space group P4/mmm (No. 123)
Unique sites:
Mg: 0.0000 0.0000 0.0000 x1
Mg: 0.0000 0.5000 0.2394 x4
Mg: 0.5000 0.5000 0.0000 x1
Nb: 0.0000 0.0000 0.5000 x1
C: 0.5000 0.5000 0.5000 x1
O: 0.0000 0.0000 0.2566 x2
O: 0.0000 0.5000 0.0000 x2
O: 0.0000 0.5000 0.5000 x2
O: 0.5000 0.5000 0.2177 x2

Principal peaks in the range 2θ from 5° to 70°, sorted by position:
2θ 9.54, 9.274 Å, I 23.1, (0 0 1); 2θ 21.12, 4.207 Å, I 31.4, (1 0 0); 2θ 23.22, 3.831 Å, I 61.0, (1 0 1); 2θ 28.65, 3.116 Å, I 27.7, (1 0 2); 2θ 35.87, 2.504 Å, I 38.3, (1 1 2); 2θ 38.84, 2.318 Å, I 64.1, (0 0 4); 2θ 43.00, 2.103 Å, I 100.0, (2 0 0); 2θ 49.43, 1.844 Å, I 15.7, (2 1 1); 2θ 59.33, 1.558 Å, I 63.2, (2 0 4); 2θ 62.44, 1.487 Å, I 28.3, (2 2 0)


(4)
# Nd6Mg2C
Computed powder XRD pattern, Cu Ka. Input: a crystal structure in Alexandria, relaxed with GGA-PBE.
Intensities are scaled so that the largest is 100.

Structural model:
Lattice parameters (Å, degrees): 12.5880 7.2752 7.2756 90.00 125.31 90.00
Space group C2/m (No. 12)
Unique sites:
Nd: 0.0006 0.2421 0.2585 x8
Nd: 0.2428 0.0000 0.7440 x4
Mg: 0.2499 0.0000 0.2500 x4
C: 0.0000 0.0000 0.5000 x2

Principal peaks in the range 2θ from 5° to 70°, sorted by position:
2θ 17.25, 5.142 Å, I 22.2, (2 0 0); 2θ 24.48, 3.636 Å, I 15.2, (1 1 1); 2θ 30.10, 2.969 Å, I 100.0, (2 2 0); 2θ 34.90, 2.571 Å, I 53.0, (4 0 0); 2θ 39.18, 2.299 Å, I 10.7, (3 1 1); 2θ 43.09, 2.099 Å, I 7.4, (1 3 1); 2θ 50.19, 1.818 Å, I 37.2, (2 2 2); 2θ 53.46, 1.714 Å, I 5.4, (3 3 -3); 2θ 59.64, 1.550 Å, I 42.1, (6 2 0); 2θ 62.58, 1.484 Å, I 12.5, (4 4 0)


(5)
# MgNiC2
Computed powder XRD pattern, Cu Ka. Input: a crystal structure in Alexandria, relaxed with GGA-PBE.
Intensities are scaled so that the largest is 100.

Structural model:
Lattice parameters (Å, degrees): 4.9252 4.9252 8.1290 90.00 90.00 90.00
Space group I-42d (No. 122)
Unique sites:
Mg: 0.0000 0.0000 0.0000 x4
Ni: 0.0000 0.0000 0.5000 x4
C: 0.1806 0.2500 0.6250 x8

Principal peaks in the range 2θ from 5° to 70°, sorted by position:
2θ 21.09, 4.212 Å, I 42.4, (1 0 1); 2θ 33.90, 2.645 Å, I 100.0, (1 1 2); 2θ 36.49, 2.463 Å, I 25.6, (2 0 0); 2θ 37.90, 2.374 Å, I 4.7, (1 0 3); 2θ 42.52, 2.126 Å, I 7.5, (2 1 1); 2θ 44.59, 2.032 Å, I 6.7, (0 0 4); 2θ 52.56, 1.741 Å, I 16.3, (2 2 0); 2θ 53.62, 1.709 Å, I 6.0, (2 1 3); 2θ 58.92, 1.567 Å, I 23.7, (2 0 4); 2θ 64.02, 1.454 Å, I 27.5, (3 1 2)